(1)
Theoretical powder diffraction line list of LiEuBi for Cu Ka, from a structure optimized by DFT (GGA-PBE).
Lines closer than 0.1° are merged.

Top 6 peaks for 2θ = 10–80°, by intensity:
2theta  d_spacing  I_rel
30.5  2.936  100
23.5  3.779  77
36.2  2.482  48
23.4  3.802  48
30.3  2.946  33
36.5  2.463  31

Atomic structure:
```
data_LiEuBi
_cell_length_a 8.0739
_cell_length_b 4.9251
_cell_length_c 8.6204
_cell_angle_alpha 90.00
_cell_angle_beta 90.00
_cell_angle_gamma 90.00
_space_group_name_H-M_alt 'P 1'
_space_group_IT_number 1
loop_
_space_group_symop_operation_xyz
'x,y,z'
loop_
_atom_site_label
_atom_site_type_symbol
_atom_site_fract_x
_atom_site_fract_y
_atom_site_fract_z
Li1 Li 0.1682 0.2500 0.0727
Li2 Li 0.3318 0.7500 0.5727
Li3 Li 0.6682 0.2500 0.4273
Li4 Li 0.8318 0.7500 0.9273
Eu1 Eu 0.0037 0.2500 0.7101
Eu2 Eu 0.4963 0.7500 0.2101
Eu3 Eu 0.5037 0.2500 0.7899
Eu4 Eu 0.9963 0.7500 0.2899
Bi1 Bi 0.2260 0.7500 0.9060
Bi2 Bi 0.2740 0.2500 0.4060
Bi3 Bi 0.7260 0.7500 0.5940
Bi4 Bi 0.7740 0.2500 0.0940
```

=====

(2)
Theoretical powder diffraction line list of MgAsO11 for Cu Ka, from a structure optimized by DFT (GGA-PBE).
Lines closer than 0.1° are merged.

Top 6 peaks for 2θ = 10–80°, by intensity:
2theta  d_spacing  I_rel
11.0  8.055  100
20.1  4.427  51
24.5  3.637  48
33.4  2.684  43
17.2  5.170  37
25.4  3.512  36

Atomic structure:
```
data_MgAsO11
_cell_length_a 12.4384
_cell_length_b 12.4384
_cell_length_c 10.9511
_cell_angle_alpha 92.27
_cell_angle_beta 92.27
_cell_angle_gamma 154.04
_space_group_name_H-M_alt 'P 1'
_space_group_IT_number 1
loop_
_space_group_symop_operation_xyz
'x,y,z'
loop_
_atom_site_label
_atom_site_type_symbol
_atom_site_fract_x
_atom_site_fract_y
_atom_site_fract_z
Mg1 Mg 0.0385 0.9615 0.7500
Mg2 Mg 0.1779 0.8221 0.2500
Mg3 Mg 0.8221 0.1779 0.7500
Mg4 Mg 0.9615 0.0385 0.2500
As1 As 0.2535 0.4974 0.5927
As2 As 0.4974 0.2535 0.0927
As3 As 0.5026 0.7465 0.9073
As4 As 0.7465 0.5026 0.4073
O1 O 0.0236 0.6928 0.4046
O2 O 0.0749 0.1938 0.0738
O3 O 0.0881 0.6495 0.8884
O4 O 0.1017 0.5874 0.1524
O5 O 0.1314 0.3365 0.3176
O6 O 0.1324 0.2433 0.6562
O7 O 0.1835 0.6982 0.6367
O8 O 0.1938 0.0749 0.5738
O9 O 0.1979 0.4768 0.8490
O10 O 0.2219 0.2828 0.0109
O11 O 0.2433 0.1324 0.1562
O12 O 0.2449 0.2916 0.7535
O13 O 0.2828 0.2219 0.5109
O14 O 0.2898 0.5256 0.4084
O15 O 0.2916 0.2449 0.2535
O16 O 0.3018 0.8165 0.8633
O17 O 0.3072 0.9764 0.0954
O18 O 0.3365 0.1314 0.8176
O19 O 0.3505 0.9119 0.6116
O20 O 0.4126 0.8983 0.3476
O21 O 0.4744 0.7102 0.0916
O22 O 0.4768 0.1979 0.3490
O23 O 0.5232 0.8021 0.6510
O24 O 0.5256 0.2898 0.9084
O25 O 0.5874 0.1017 0.6524
O26 O 0.6495 0.0881 0.3884
O27 O 0.6635 0.8686 0.1824
O28 O 0.6928 0.0236 0.9046
O29 O 0.6982 0.1835 0.1367
O30 O 0.7084 0.7551 0.7465
O31 O 0.7102 0.4744 0.5916
O32 O 0.7172 0.7781 0.4891
O33 O 0.7551 0.7084 0.2465
O34 O 0.7567 0.8676 0.8438
O35 O 0.7781 0.7172 0.9891
O36 O 0.8021 0.5232 0.1510
O37 O 0.8062 0.9251 0.4262
O38 O 0.8165 0.3018 0.3633
O39 O 0.8676 0.7567 0.3438
O40 O 0.8686 0.6635 0.6824
O41 O 0.8983 0.4126 0.8476
O42 O 0.9119 0.3505 0.1116
O43 O 0.9251 0.8062 0.9262
O44 O 0.9764 0.3072 0.5954
```

=====

(3)
Theoretical powder diffraction line list of LiPrGe4O12 for Cu Ka, from a structure optimized by DFT (GGA-PBE).
Lines closer than 0.1° are merged.

Top 6 peaks for 2θ = 10–80°, by intensity:
2theta  d_spacing  I_rel
33.6  2.670  100
20.4  4.344  53
34.0  2.640  50
48.8  1.867  48
23.8  3.734  44
60.5  1.530  39

Atomic structure:
```
data_LiPrGe4O12
_cell_length_a 5.2806
_cell_length_b 5.2806
_cell_length_c 7.6401
_cell_angle_alpha 90.00
_cell_angle_beta 90.00
_cell_angle_gamma 90.00
_space_group_name_H-M_alt 'P 1'
_space_group_IT_number 1
loop_
_space_group_symop_operation_xyz
'x,y,z'
loop_
_atom_site_label
_atom_site_type_symbol
_atom_site_fract_x
_atom_site_fract_y
_atom_site_fract_z
Li1 Li 0.0000 0.0000 0.0000
Pr1 Pr 0.5000 0.5000 0.5000
Ge1 Ge 0.0000 0.5000 0.2371
Ge2 Ge 0.0000 0.5000 0.7629
Ge3 Ge 0.5000 0.0000 0.2371
Ge4 Ge 0.5000 0.0000 0.7629
O1 O 0.0000 0.5000 0.0000
O2 O 0.0000 0.5000 0.5000
O3 O 0.2552 0.2552 0.2614
O4 O 0.2552 0.2552 0.7386
O5 O 0.2552 0.7448 0.2614
O6 O 0.2552 0.7448 0.7386
O7 O 0.5000 0.0000 0.0000
O8 O 0.5000 0.0000 0.5000
O9 O 0.7448 0.2552 0.2614
O10 O 0.7448 0.2552 0.7386
O11 O 0.7448 0.7448 0.2614
O12 O 0.7448 0.7448 0.7386
```

=====

(4)
Theoretical powder diffraction line list of Ba2TlHg for Cu Ka, from a structure optimized by DFT (GGA-PBE).
Lines closer than 0.1° are merged.

Top 6 peaks for 2θ = 10–80°, by intensity:
2theta  d_spacing  I_rel
29.7  3.011  100
52.6  1.739  41
42.5  2.129  19
69.8  1.347  18
61.6  1.506  13
20.9  4.258  5

Atomic structure:
```
data_Ba2TlHg
_cell_length_a 6.0224
_cell_length_b 6.0224
_cell_length_c 6.0224
_cell_angle_alpha 60.00
_cell_angle_beta 60.00
_cell_angle_gamma 60.00
_space_group_name_H-M_alt 'P 1'
_space_group_IT_number 1
loop_
_space_group_symop_operation_xyz
'x,y,z'
loop_
_atom_site_label
_atom_site_type_symbol
_atom_site_fract_x
_atom_site_fract_y
_atom_site_fract_z
Ba1 Ba 0.2500 0.2500 0.2500
Ba2 Ba 0.7500 0.7500 0.7500
Tl1 Tl 0.0000 0.0000 0.0000
Hg1 Hg 0.5000 0.5000 0.5000
```